The following is a calculated PXRD pattern of Li2YIr. It was derived from a crystal structure in Alexandria, relaxed with GGA-PBE, using copper Kα.
Intensities are scaled so that the largest is 100.

Largest 10 diffraction maxima, low angle first, 5° ≤ 2θ ≤ 70°:
two_theta	d/Å	I (rel.)
18.1	4.912	100
32.0	2.795	25
34.6	2.595	23
36.6	2.456	20
37.0	2.429	38
38.5	2.336	15
39.3	2.294	28
42.9	2.110	25
49.4	1.845	15
51.2	1.784	15

Structural model:
abc: 3.2991 4.9116 4.6866
angles: 90.00 94.53 90.00
Fractional positions:
Li  0.2012  0.0000  0.3016
Li  0.7988  0.0000  0.6984
Y  0.5000  0.5000  0.0000
Ir  0.0000  0.5000  0.5000

---

The following is a calculated PXRD pattern of Pm8Sm2Tm3. It was derived from a crystal structure in Alexandria, relaxed with GGA-PBE, using copper Kα.
Intensities are scaled so that the largest is 100.

Largest 9 diffraction maxima, low angle first, 5° ≤ 2θ ≤ 70°:
two_theta	d/Å	I (rel.)
7.9	11.214	1
30.3	2.949	34
30.3	2.946	100
35.2	2.552	68
50.6	1.804	48
60.1	1.540	24
60.2	1.538	33
63.1	1.474	12
63.1	1.472	4

Structural model:
abc: 6.2461 6.2568 11.4123
angles: 89.97 79.44 80.35
Fractional positions:
Pm  0.0397  0.0791  0.3492
Pm  0.1926  0.3832  0.7267
Pm  0.3461  0.6920  0.1180
Pm  0.4225  0.8450  0.8042
Pm  0.5775  0.1550  0.1958
Pm  0.6539  0.3080  0.8820
Pm  0.8074  0.6168  0.2733
Pm  0.9603  0.9209  0.6508
Sm  0.1151  0.2308  0.0393
Sm  0.8849  0.7692  0.9607
Tm  0.2709  0.5390  0.4251
Tm  0.5000  0.0000  0.5000
Tm  0.7291  0.4610  0.5749

---

The following is a calculated PXRD pattern of LaSnAu11. It was derived from a crystal structure in Alexandria, relaxed with GGA-PBE, using copper Kα.
Intensities are scaled so that the largest is 100.

Largest 10 diffraction maxima, low angle first, 5° ≤ 2θ ≤ 70°:
two_theta	d/Å	I (rel.)
32.2	2.783	43
35.8	2.510	48
36.9	2.435	53
37.1	2.420	100
37.3	2.412	59
38.2	2.354	84
40.4	2.235	47
40.7	2.219	45
41.3	2.186	55
42.3	2.135	83

Structural model:
abc: 7.1648 7.1648 7.6159
angles: 97.92 97.92 133.99
Fractional positions:
La  0.0000  0.0000  0.0000
Sn  0.5000  0.5000  0.5000
Au  0.0000  0.0000  0.5000
Au  0.0000  0.5000  0.0000
Au  0.0165  0.6615  0.6584
Au  0.2942  0.5069  0.7899
Au  0.3385  0.9835  0.3416
Au  0.4931  0.7058  0.2101
Au  0.5000  0.0000  0.0000
Au  0.5069  0.2942  0.7899
Au  0.6615  0.0165  0.6584
Au  0.7058  0.4931  0.2101
Au  0.9835  0.3385  0.3416

---

The following is a calculated PXRD pattern of La7Y2Tm2. It was derived from a crystal structure in Alexandria, relaxed with GGA-PBE, using copper Kα.
Intensities are scaled so that the largest is 100.

Largest 10 diffraction maxima, low angle first, 5° ≤ 2θ ≤ 70°:
two_theta	d/Å	I (rel.)
27.8	3.207	24
29.2	3.057	24
30.3	2.952	31
30.5	2.934	21
31.0	2.882	100
31.1	2.871	61
31.7	2.824	86
33.1	2.709	50
46.1	1.970	24
51.7	1.770	22

Structural model:
abc: 6.4434 6.4434 10.2117
angles: 90.22 90.22 114.42
Fractional positions:
La  0.0000  0.0000  0.0000
La  0.1754  0.5849  0.1495
La  0.1889  0.1889  0.3659
La  0.4151  0.8246  0.8505
La  0.5849  0.1754  0.1495
La  0.8111  0.8111  0.6341
La  0.8246  0.4151  0.8505
Y  0.2743  0.7257  0.5000
Y  0.7257  0.2743  0.5000
Tm  0.2931  0.2931  0.7033
Tm  0.7069  0.7069  0.2967

---

The following is a calculated PXRD pattern of AcInSbO. It was derived from a crystal structure in Alexandria, relaxed with GGA-PBE, using copper Kα.
Intensities are scaled so that the largest is 100.

Largest 10 diffraction maxima, low angle first, 5° ≤ 2θ ≤ 70°:
two_theta	d/Å	I (rel.)
9.4	9.439	34
18.8	4.720	30
29.1	3.065	100
34.9	2.571	37
36.2	2.482	45
41.1	2.196	17
52.1	1.755	16
53.6	1.710	20
60.0	1.542	15
60.8	1.523	26

Structural model:
abc: 9.7601 9.7601 9.7601
angles: 159.29 159.29 29.46
Fractional positions:
Ac  0.0000  0.0000  0.0000
In  0.2637  0.2637  0.0000
Sb  0.6489  0.6489  0.0000
O  0.4687  0.4687  0.0000

---

The following is a calculated PXRD pattern of Dy2Si2GeRh5. It was derived from a crystal structure in Alexandria, relaxed with GGA-PBE, using copper Kα.
Intensities are scaled so that the largest is 100.

Largest 10 diffraction maxima, low angle first, 5° ≤ 2θ ≤ 70°:
two_theta	d/Å	I (rel.)
33.0	2.715	68
36.8	2.443	29
38.3	2.352	74
39.1	2.301	100
39.4	2.286	23
41.6	2.169	23
42.5	2.128	32
52.6	1.740	23
66.9	1.399	28
67.4	1.389	17

Structural model:
abc: 9.6988 9.6988 3.4804
angles: 90.00 90.00 90.00
Fractional positions:
Dy  0.1753  0.3247  0.0000
Dy  0.3247  0.8247  0.0000
Dy  0.6753  0.1753  0.0000
Dy  0.8247  0.6753  0.0000
Si  0.1232  0.6232  0.0000
Si  0.3768  0.1232  0.0000
Si  0.6232  0.8768  0.0000
Si  0.8768  0.3768  0.0000
Ge  0.0000  0.0000  0.0000
Ge  0.5000  0.5000  0.0000
Rh  0.0000  0.5000  0.5000
Rh  0.0683  0.7885  0.5000
Rh  0.2115  0.0683  0.5000
Rh  0.2885  0.5683  0.5000
Rh  0.4317  0.2885  0.5000
Rh  0.5000  0.0000  0.5000
Rh  0.5683  0.7115  0.5000
Rh  0.7115  0.4317  0.5000
Rh  0.7885  0.9317  0.5000
Rh  0.9317  0.2115  0.5000

---

The following is a calculated PXRD pattern of SmMn10Si2. It was derived from a crystal structure in Alexandria, relaxed with GGA-PBE, using copper Kα.
Intensities are scaled so that the largest is 100.

Largest 10 diffraction maxima, low angle first, 5° ≤ 2θ ≤ 70°:
two_theta	d/Å	I (rel.)
30.5	2.929	35
37.3	2.411	33
38.1	2.363	45
40.6	2.222	54
43.4	2.083	29
43.6	2.074	59
43.7	2.069	36
44.1	2.052	100
44.7	2.027	28
49.2	1.853	25

Structural model:
abc: 6.3540 6.3540 8.1332
angles: 90.00 90.00 98.72
Fractional positions:
Sm  0.1282  0.8718  0.7500
Sm  0.8718  0.1282  0.2500
Mn  0.1258  0.3698  0.7500
Mn  0.1762  0.8238  0.1096
Mn  0.1762  0.8238  0.3904
Mn  0.2200  0.2200  0.0000
Mn  0.2200  0.2200  0.5000
Mn  0.2585  0.4776  0.2500
Mn  0.3698  0.1258  0.2500
Mn  0.3956  0.6044  0.5637
Mn  0.3956  0.6044  0.9363
Mn  0.4776  0.2585  0.7500
Mn  0.5224  0.7415  0.2500
Mn  0.6044  0.3956  0.0637
Mn  0.6044  0.3956  0.4363
Mn  0.6302  0.8742  0.7500
Mn  0.7415  0.5224  0.7500
Mn  0.7800  0.7800  0.0000
Mn  0.7800  0.7800  0.5000
Mn  0.8238  0.1762  0.6096
Mn  0.8238  0.1762  0.8904
Mn  0.8742  0.6302  0.2500
Si  0.0000  0.5000  0.0000
Si  0.0000  0.5000  0.5000
Si  0.5000  0.0000  0.0000
Si  0.5000  0.0000  0.5000

---

The following is a calculated PXRD pattern of NaNb4Se8. It was derived from a crystal structure in Alexandria, relaxed with GGA-PBE, using copper Kα.
Intensities are scaled so that the largest is 100.

Largest 10 diffraction maxima, low angle first, 5° ≤ 2θ ≤ 70°:
two_theta	d/Å	I (rel.)
11.3	7.850	100
31.6	2.828	27
31.8	2.817	49
37.4	2.405	19
37.5	2.400	9
37.6	2.390	41
45.8	1.983	24
46.1	1.970	12
52.4	1.746	26
53.8	1.705	8

Structural model:
abc: 6.9815 6.9815 9.8683
angles: 121.65 121.65 60.02
Fractional positions:
Na  0.0000  0.0000  0.0000
Nb  0.2522  0.2522  0.5010
Nb  0.2549  0.7451  0.5000
Nb  0.7451  0.2549  0.5000
Nb  0.7478  0.7478  0.4990
Se  0.0225  0.0225  0.7121
Se  0.0239  0.5213  0.7151
Se  0.4758  0.4758  0.2826
Se  0.4787  0.9761  0.2849
Se  0.5213  0.0239  0.7151
Se  0.5242  0.5242  0.7174
Se  0.9761  0.4787  0.2849
Se  0.9775  0.9775  0.2879

---

The following is a calculated PXRD pattern of SmGa2Cu5. It was derived from a crystal structure in Alexandria, relaxed with GGA-PBE, using copper Kα.
Intensities are scaled so that the largest is 100.

Largest 10 diffraction maxima, low angle first, 5° ≤ 2θ ≤ 70°:
two_theta	d/Å	I (rel.)
26.0	3.426	18
30.8	2.902	19
32.4	2.759	54
36.2	2.479	100
36.4	2.468	87
40.6	2.222	21
46.1	1.967	88
46.9	1.936	42
50.1	1.820	22
67.9	1.380	38

Structural model:
abc: 6.2112 6.2112 6.2112
angles: 143.68 113.06 78.61
Fractional positions:
Sm  0.0000  0.0000  0.0000
Ga  0.2479  0.7479  0.5000
Ga  0.7521  0.2521  0.5000
Cu  0.1850  0.3668  0.8182
Cu  0.4514  0.6332  0.8182
Cu  0.5000  0.0000  0.5000
Cu  0.5486  0.3668  0.1818
Cu  0.8150  0.6332  0.1818

---

The following is a calculated PXRD pattern of Th2GePd3. It was derived from a crystal structure in Alexandria, relaxed with GGA-PBE, using copper Kα.
Intensities are scaled so that the largest is 100.

Largest 10 diffraction maxima, low angle first, 5° ≤ 2θ ≤ 70°:
two_theta	d/Å	I (rel.)
22.9	3.885	17
33.2	2.700	48
33.7	2.661	100
39.3	2.290	54
40.6	2.221	25
50.0	1.825	14
52.0	1.757	16
53.4	1.715	25
65.4	1.428	24
68.0	1.378	14

Structural model:
abc: 9.1679 8.8120 5.7494
angles: 74.75 68.02 37.23
Fractional positions:
Th  0.2436  0.7564  0.7564
Th  0.2500  0.2500  0.2500
Th  0.7500  0.7500  0.7500
Th  0.7564  0.2436  0.2436
Ge  0.3362  0.3362  0.6638
Ge  0.6638  0.6638  0.3362
Pd  0.1722  0.6592  0.3408
Pd  0.1779  0.1779  0.8221
Pd  0.3408  0.8278  0.1722
Pd  0.6592  0.1722  0.8278
Pd  0.8221  0.8221  0.1779
Pd  0.8278  0.3408  0.6592

---

The following is a calculated PXRD pattern of PmTl2InS4. It was derived from a crystal structure in Alexandria, relaxed with GGA-PBE, using copper Kα.
Intensities are scaled so that the largest is 100.

Largest 10 diffraction maxima, low angle first, 5° ≤ 2θ ≤ 70°:
two_theta	d/Å	I (rel.)
25.8	3.459	68
26.2	3.407	65
29.9	2.991	52
30.2	2.964	100
42.7	2.120	18
43.0	2.105	74
50.8	1.799	38
51.4	1.778	23
52.9	1.729	19
53.8	1.704	19

Structural model:
abc: 8.4231 8.4231 8.4231
angles: 121.04 119.57 89.48
Fractional positions:
Pm  0.0000  0.0000  0.0000
Pm  0.5000  0.0000  0.5000
Tl  0.0000  0.5000  0.5000
Tl  0.5000  0.0000  0.0000
Tl  0.5000  0.5000  0.0000
Tl  0.5000  0.5000  0.5000
In  0.0000  0.0000  0.5000
In  0.0000  0.5000  0.0000
S  0.2004  0.2393  0.9611
S  0.2217  0.7607  0.4611
S  0.2317  0.2065  0.4748
S  0.2317  0.7569  0.0252
S  0.7683  0.2431  0.9748
S  0.7683  0.7935  0.5252
S  0.7783  0.2393  0.5389
S  0.7996  0.7607  0.0389

---

The following is a calculated PXRD pattern of CaGa2SnAu5. It was derived from a crystal structure in Alexandria, relaxed with GGA-PBE, using copper Kα.
Intensities are scaled so that the largest is 100.

Largest 10 diffraction maxima, low angle first, 5° ≤ 2θ ≤ 70°:
two_theta	d/Å	I (rel.)
10.0	8.869	34
20.5	4.323	30
27.4	3.256	45
30.2	2.956	44
32.6	2.748	84
36.3	2.475	100
39.9	2.259	30
47.9	1.898	50
52.3	1.750	35
62.9	1.477	32

Structural model:
abc: 4.9508 4.9508 8.8692
angles: 90.00 90.00 90.00
Fractional positions:
Ca  0.0000  0.0000  0.0000
Ga  0.5000  0.5000  0.2788
Ga  0.5000  0.5000  0.7212
Sn  0.0000  0.0000  0.5000
Au  0.0000  0.5000  0.3199
Au  0.0000  0.5000  0.6801
Au  0.5000  0.0000  0.3199
Au  0.5000  0.0000  0.6801
Au  0.5000  0.5000  0.0000

---

The following is a calculated PXRD pattern of BeZn4Cu15. It was derived from a crystal structure in Alexandria, relaxed with GGA-PBE, using copper Kα.
Intensities are scaled so that the largest is 100.

Largest 10 diffraction maxima, low angle first, 5° ≤ 2θ ≤ 70°:
two_theta	d/Å	I (rel.)
25.2	3.538	1
26.5	3.363	1
28.6	3.123	1
38.1	2.360	1
40.3	2.239	2
42.9	2.107	100
43.4	2.083	1
48.6	1.875	16
50.7	1.802	31
68.9	1.363	1

Structural model:
abc: 3.6031 3.6031 18.7513
angles: 90.00 90.00 90.00
Fractional positions:
Be  0.0000  0.0000  0.0000
Zn  0.0000  0.0000  0.1948
Zn  0.0000  0.0000  0.3982
Zn  0.0000  0.0000  0.6018
Zn  0.0000  0.0000  0.8052
Cu  0.0000  0.5000  0.0925
Cu  0.0000  0.5000  0.2965
Cu  0.0000  0.5000  0.5000
Cu  0.0000  0.5000  0.7035
Cu  0.0000  0.5000  0.9075
Cu  0.5000  0.0000  0.0925
Cu  0.5000  0.0000  0.2965
Cu  0.5000  0.0000  0.5000
Cu  0.5000  0.0000  0.7035
Cu  0.5000  0.0000  0.9075
Cu  0.5000  0.5000  0.0000
Cu  0.5000  0.5000  0.1946
Cu  0.5000  0.5000  0.3983
Cu  0.5000  0.5000  0.6017
Cu  0.5000  0.5000  0.8054